Starting from the PBE geometry in OQMD, the powder XRD pattern of La21Fe8Bi7C12 was computed for λ = 1.5418 Å (Cu Kα).

Crystal structure
```
La21Fe8Bi7C12
1.0
0.000 8.261 8.261
8.261 0.000 8.261
8.261 8.261 0.000
La Fe Bi C
21 8 7 12
Direct
0.000 0.000 0.000
0.138 0.138 0.138
0.138 0.138 0.587
0.138 0.587 0.138
0.157 0.500 0.500
0.157 0.500 0.843
0.157 0.843 0.500
0.413 0.862 0.862
0.500 0.157 0.500
0.500 0.157 0.843
0.500 0.500 0.157
0.500 0.500 0.843
0.500 0.843 0.157
0.500 0.843 0.500
0.587 0.138 0.138
0.843 0.157 0.500
0.843 0.500 0.157
0.843 0.500 0.500
0.862 0.413 0.862
0.862 0.862 0.413
0.862 0.862 0.862
0.089 0.304 0.304
0.304 0.089 0.304
0.304 0.304 0.089
0.304 0.304 0.304
0.696 0.696 0.696
0.696 0.696 0.911
0.696 0.911 0.696
0.911 0.696 0.696
0.209 0.209 0.791
0.209 0.791 0.209
0.209 0.791 0.791
0.500 0.500 0.500
0.791 0.209 0.209
0.791 0.209 0.791
0.791 0.791 0.209
0.109 0.109 0.391
0.109 0.391 0.109
0.109 0.391 0.391
0.391 0.109 0.109
0.391 0.109 0.391
0.391 0.391 0.109
0.609 0.609 0.891
0.609 0.891 0.609
0.609 0.891 0.891
0.891 0.609 0.609
0.891 0.609 0.891
0.891 0.891 0.609
```

The 6 most intense peaks (10° ≤ 2θ ≤ 90°), by angle:
| 2θ/deg | I (rel.) |
| --- | --- |
| 28.06 | 100 |
| 30.61 | 45 |
| 32.05 | 44 |
| 32.52 | 77 |
| 42.00 | 39 |
| 46.65 | 32 |

Starting from the PBE geometry in OQMD, the powder XRD pattern of Al3W10 was computed for λ = 1.5418 Å (Cu Kα).

Crystal structure
```
Al3W10
1.0
2.599 1.500 9.188
-2.599 1.500 9.188
0.000 -3.001 9.188
Al W
3 10
Direct
0.000 0.000 0.000
0.166 0.166 0.166
0.834 0.834 0.834
0.091 0.091 0.587
0.091 0.587 0.091
0.350 0.350 0.350
0.413 0.909 0.909
0.454 0.454 0.454
0.546 0.546 0.546
0.587 0.091 0.091
0.650 0.650 0.650
0.909 0.413 0.909
0.909 0.909 0.413
```

The 6 most intense peaks (10° ≤ 2θ ≤ 90°), by angle:
| 2θ/deg | I (rel.) |
| --- | --- |
| 19.32 | 58 |
| 38.29 | 57 |
| 39.85 | 44 |
| 40.20 | 100 |
| 41.23 | 45 |
| 43.43 | 43 |

Starting from the PBE geometry in OQMD, the powder XRD pattern of ErTmLu2In2 was computed for λ = 1.5418 Å (Cu Kα).

Crystal structure
```
ErTmLu2In2
1.0
5.280 0.000 0.000
-2.640 4.572 0.000
0.000 0.000 6.618
Er Tm Lu In
1 1 2 2
Direct
0.000 0.000 0.000
0.333 0.667 0.500
0.667 0.333 0.251
0.667 0.333 0.749
0.000 0.000 0.500
0.333 0.667 0.000
```

The 6 most intense peaks (10° ≤ 2θ ≤ 90°), by angle:
| 2θ/deg | I (rel.) |
| --- | --- |
| 33.43 | 99 |
| 33.96 | 100 |
| 48.39 | 35 |
| 60.43 | 36 |
| 60.77 | 19 |
| 66.72 | 28 |

Starting from the PBE geometry in OQMD, the powder XRD pattern of LiPdAu was computed for λ = 1.5418 Å (Cu Kα).

Crystal structure
```
LiPdAu
1.0
2.438 -4.215 0.000
2.438 4.215 0.000
-1.741 0.000 4.548
Li Pd Au
2 2 2
Direct
0.000 0.000 0.000
0.668 0.332 0.000
0.170 0.830 0.500
0.837 0.163 0.500
0.330 0.670 0.000
0.506 0.494 0.500
```

The 6 most intense peaks (10° ≤ 2θ ≤ 90°), by angle:
| 2θ/deg | I (rel.) |
| --- | --- |
| 22.18 | 64 |
| 28.88 | 39 |
| 39.13 | 100 |
| 39.60 | 97 |
| 46.08 | 63 |
| 66.51 | 52 |

Starting from the PBE geometry in OQMD, the powder XRD pattern of KAuC2S2N2 was computed for λ = 1.5418 Å (Cu Kα).

Crystal structure
```
KAuC2S2N2
1.0
6.594 -3.027 0.000
6.594 3.027 0.000
-6.244 0.000 16.765
K Au C S N
4 4 8 8 8
Direct
0.147 0.190 0.052
0.190 0.147 0.552
0.810 0.853 0.448
0.853 0.810 0.948
0.176 0.824 0.750
0.326 0.674 0.250
0.674 0.326 0.750
0.824 0.176 0.250
0.172 0.283 0.365
0.283 0.172 0.865
0.427 0.551 0.588
0.449 0.573 0.912
0.551 0.427 0.088
0.573 0.449 0.412
0.717 0.828 0.135
0.828 0.717 0.635
0.007 0.618 0.720
0.295 0.692 0.118
0.308 0.705 0.382
0.382 0.993 0.780
0.618 0.007 0.220
0.692 0.295 0.618
0.705 0.308 0.882
0.993 0.382 0.280
0.226 0.295 0.928
0.242 0.729 0.564
0.271 0.758 0.936
0.295 0.226 0.428
0.705 0.774 0.572
0.729 0.242 0.064
0.758 0.271 0.436
0.774 0.705 0.072
```

The 6 most intense peaks (10° ≤ 2θ ≤ 90°), by angle:
| 2θ/deg | I (rel.) |
| --- | --- |
| 10.55 | 100 |
| 14.33 | 64 |
| 14.54 | 55 |
| 20.62 | 28 |
| 21.05 | 33 |
| 30.00 | 26 |

Starting from the PBE geometry in OQMD, the powder XRD pattern of TaNb5Pt2 was computed for λ = 1.5418 Å (Cu Kα).

Crystal structure
```
TaNb5Pt2
1.0
5.186 0.000 0.000
0.000 5.186 0.000
0.000 0.000 5.205
Ta Nb Pt
1 5 2
Direct
0.000 0.000 0.000
0.000 0.000 0.500
0.250 0.500 0.750
0.500 0.250 0.250
0.500 0.750 0.250
0.750 0.500 0.750
0.000 0.500 0.249
0.500 0.000 0.751
```

The 6 most intense peaks (10° ≤ 2θ ≤ 90°), by angle:
| 2θ/deg | I (rel.) |
| --- | --- |
| 24.23 | 19 |
| 34.59 | 35 |
| 38.75 | 44 |
| 38.83 | 25 |
| 42.65 | 100 |
| 67.47 | 36 |

Starting from the PBE geometry in OQMD, the powder XRD pattern of NdTlTe4Au3 was computed for λ = 1.5418 Å (Cu Kα).

Crystal structure
```
NdTlTe4Au3
1.0
6.784 0.000 0.000
0.000 6.784 0.000
0.000 0.000 6.784
Nd Tl Te Au
1 1 4 3
Direct
0.000 0.000 0.000
0.500 0.500 0.500
0.249 0.249 0.751
0.249 0.751 0.249
0.751 0.249 0.249
0.751 0.751 0.751
0.000 0.000 0.500
0.000 0.500 0.000
0.500 0.000 0.000
```

The 6 most intense peaks (10° ≤ 2θ ≤ 90°), by angle:
| 2θ/deg | I (rel.) |
| --- | --- |
| 22.70 | 78 |
| 37.50 | 100 |
| 44.28 | 41 |
| 54.07 | 17 |
| 59.38 | 17 |
| 67.65 | 36 |

Starting from the PBE geometry in OQMD, the powder XRD pattern of TaBiN2O was computed for λ = 1.5418 Å (Cu Kα).

Crystal structure
```
TaBiN2O
1.0
-3.898 2.940 2.884
3.898 -2.940 2.884
3.898 2.940 -2.884
Ta Bi N O
2 2 4 2
Direct
0.000 0.000 0.000
0.000 0.500 0.500
0.454 0.254 0.699
0.555 0.754 0.301
0.021 0.215 0.694
0.021 0.827 0.306
0.521 0.327 0.306
0.521 0.715 0.694
0.103 0.772 0.831
0.941 0.272 0.169
```

The 6 most intense peaks (10° ≤ 2θ ≤ 90°), by angle:
| 2θ/deg | I (rel.) |
| --- | --- |
| 30.40 | 23 |
| 31.01 | 28 |
| 31.61 | 100 |
| 43.98 | 22 |
| 54.78 | 15 |
| 55.53 | 21 |

Starting from the PBE geometry in OQMD, the powder XRD pattern of SiPbW4C2 was computed for λ = 1.5418 Å (Cu Kα).

Crystal structure
```
SiPbW4C2
1.0
3.211 0.000 0.000
-1.606 2.781 0.000
0.000 0.000 12.968
Si Pb W C
1 1 4 2
Direct
0.000 0.000 0.000
0.333 0.667 0.500
0.000 0.000 0.308
0.000 0.000 0.692
0.333 0.667 0.138
0.333 0.667 0.862
0.667 0.333 0.232
0.667 0.333 0.768
```

The 6 most intense peaks (10° ≤ 2θ ≤ 90°), by angle:
| 2θ/deg | I (rel.) |
| --- | --- |
| 32.19 | 33 |
| 35.11 | 26 |
| 38.49 | 100 |
| 57.39 | 27 |
| 66.80 | 18 |
| 71.24 | 17 |

Starting from the PBE geometry in OQMD, the powder XRD pattern of Nb2PC was computed for λ = 1.5418 Å (Cu Kα).

Crystal structure
```
Nb2PC
1.0
3.308 0.000 0.000
-1.654 2.864 0.000
0.000 0.000 11.649
Nb P C
4 2 2
Direct
0.333 0.667 0.100
0.333 0.667 0.400
0.667 0.333 0.600
0.667 0.333 0.900
0.333 0.667 0.750
0.667 0.333 0.250
0.000 0.000 0.000
0.000 0.000 0.500
```

The 6 most intense peaks (10° ≤ 2θ ≤ 90°), by angle:
| 2θ/deg | I (rel.) |
| --- | --- |
| 31.23 | 28 |
| 32.18 | 25 |
| 39.08 | 100 |
| 55.57 | 27 |
| 64.81 | 20 |
| 70.02 | 17 |

Starting from the PBE geometry in OQMD, the powder XRD pattern of LiHoAu was computed for λ = 1.5418 Å (Cu Kα).

Crystal structure
```
LiHoAu
1.0
4.036 0.000 0.000
0.000 4.036 0.000
0.000 0.000 7.951
Li Ho Au
2 2 2
Direct
0.250 0.750 0.000
0.750 0.250 0.000
0.250 0.250 0.350
0.750 0.750 0.650
0.250 0.250 0.742
0.750 0.750 0.258
```

The 6 most intense peaks (10° ≤ 2θ ≤ 90°), by angle:
| 2θ/deg | I (rel.) |
| --- | --- |
| 11.13 | 43 |
| 22.36 | 53 |
| 31.34 | 100 |
| 38.84 | 57 |
| 40.73 | 47 |
| 44.92 | 40 |

Starting from the PBE geometry in OQMD, the powder XRD pattern of YHoInFe2 was computed for λ = 1.5418 Å (Cu Kα).

Crystal structure
```
YHoInFe2
1.0
3.992 0.000 0.000
0.000 1.885 6.825
0.000 -1.885 6.825
Y Ho In Fe
1 1 1 2
Direct
0.000 0.000 0.000
0.000 0.724 0.724
0.500 0.362 0.362
0.500 0.155 0.155
0.500 0.573 0.573
```

The 6 most intense peaks (10° ≤ 2θ ≤ 90°), by angle:
| 2θ/deg | I (rel.) |
| --- | --- |
| 30.80 | 40 |
| 33.34 | 100 |
| 34.58 | 79 |
| 40.81 | 31 |
| 45.44 | 25 |
| 60.73 | 30 |

Starting from the PBE geometry in OQMD, the powder XRD pattern of Dy2Sn5 was computed for λ = 1.5418 Å (Cu Kα).

Crystal structure
```
Dy2Sn5
1.0
4.354 0.000 0.000
0.000 4.432 0.000
0.000 0.000 19.092
Dy Sn
4 10
Direct
0.250 0.250 0.129
0.250 0.750 0.700
0.750 0.250 0.300
0.750 0.750 0.871
0.250 0.250 0.424
0.250 0.250 0.577
0.250 0.250 0.843
0.250 0.750 0.001
0.250 0.750 0.265
0.750 0.250 0.735
0.750 0.250 0.999
0.750 0.750 0.157
0.750 0.750 0.423
0.750 0.750 0.576
```

The 6 most intense peaks (10° ≤ 2θ ≤ 90°), by angle:
| 2θ/deg | I (rel.) |
| --- | --- |
| 32.07 | 100 |
| 32.84 | 48 |
| 34.45 | 100 |
| 40.72 | 36 |
| 41.48 | 35 |
| 69.71 | 34 |